(1)
Starting from DFT lattice parameters and positions (GGA-PBE), the powder diffraction line list of CuNiAu was simulated for Cu Kα, 1.54184 Å.
Lines closer than 0.1° are merged.

Top 8 peaks for 5 to 70 degrees two-theta, most intense first:
Position (°2θ)	I (rel.)	h k l
40.52	100	1 0 1
47.81	57	0 1 2
13.97	44	0 0 1
42.78	23	0 0 3
68.32	17	1 1 0
28.15	16	0 0 2
37.83	16	1 0 0
58.42	11	1 0 3

```
data_CuNiAu
_symmetry_space_group_name_H-M 'P 3 m 1'
_symmetry_Int_Tables_number 156
_cell_length_a 2.7458
_cell_length_b 2.7458
_cell_length_c 6.3410
_cell_angle_alpha 90.00
_cell_angle_beta 90.00
_cell_angle_gamma 120.00
loop_
_symmetry_equiv_pos_as_xyz
'x,y,z'
'-y,x-y,z'
'-x+y,-x,z'
'-y,-x,z'
'-x+y,y,z'
'x,x-y,z'
loop_
_atom_site_label
_atom_site_fract_x
_atom_site_fract_y
_atom_site_fract_z
Cu1 0.0000 0.0000 0.0000
Ni1 0.6667 0.3333 0.3003
Au1 0.3333 0.6667 0.6469
```

=====

(2)
Starting from DFT lattice parameters and positions (GGA-PBE), the powder diffraction line list of Sc2CuAu was simulated for Cu Kα, 1.54184 Å.
Lines closer than 0.1° are merged.

Top 8 peaks for 5 to 70 degrees two-theta, most intense first:
Position (°2θ)	I (rel.)	h k l
38.07	100	2 2 0
68.79	33	4 2 2
26.67	31	2 0 0
23.04	30	1 1 1
44.97	17	3 1 1
54.93	17	4 0 0
62.09	13	4 2 0
47.09	9	2 2 2

```
data_Sc2CuAu
_symmetry_space_group_name_H-M 'F m -3 m'
_symmetry_Int_Tables_number 225
_symmetry_space_group_name_Hall '-F 4 2 3'
_cell_length_a 6.6857
_cell_length_b 6.6857
_cell_length_c 6.6857
_cell_angle_alpha 90.00
_cell_angle_beta 90.00
_cell_angle_gamma 90.00
loop_
_atom_site_label
_atom_site_fract_x
_atom_site_fract_y
_atom_site_fract_z
Sc1 0.2500 0.2500 0.2500
Cu1 0.0000 0.0000 0.0000
Au1 0.0000 0.0000 0.5000
```

=====

(3)
Starting from DFT lattice parameters and positions (GGA-PBE), the powder diffraction line list of CuAuSe4 was simulated for Cu Kα, 1.54184 Å.
Lines closer than 0.1° are merged.

Top 8 peaks for 5 to 70 degrees two-theta, most intense first:
Position (°2θ)	I (rel.)	h k l
31.11	100	1 2 0
32.78	43	0 0 3
48.27	40	0 4 0
22.16	36	1 0 -1
10.79	30	0 0 1
44.86	27	1 2 -3
46.75	25	1 2 3
53.90	20	2 2 2

```
data_CuAuSe4
_symmetry_space_group_name_H-M 'P 1 21/m 1'
_symmetry_Int_Tables_number 11
_cell_length_a 4.4546
_cell_length_b 7.5364
_cell_length_c 8.2126
_cell_angle_alpha 90.00
_cell_angle_beta 93.46
_cell_angle_gamma 90.00
loop_
_symmetry_equiv_pos_as_xyz
'x,y,z'
'-x,-y,-z'
'-x,y+1/2,-z'
'x,-y+1/2,z'
loop_
_atom_site_label
_atom_site_fract_x
_atom_site_fract_y
_atom_site_fract_z
Cu1 0.0298 0.2500 0.1591
Au1 0.5000 0.0000 0.5000
Se1 0.0703 0.7500 0.1333
Se2 0.1475 0.7500 0.5669
Se3 0.4039 0.0028 0.1936
```

=====

(4)
Starting from DFT lattice parameters and positions (GGA-PBE), the powder diffraction line list of Cu3SnAu was simulated for Cu Kα, 1.54184 Å.
Lines closer than 0.1° are merged.

Top 8 peaks for 5 to 70 degrees two-theta, most intense first:
Position (°2θ)	I (rel.)	h k l
43.78	100	3 1 1
37.08	68	2 2 0
22.45	40	1 1 1
39.42	30	2 2 1
66.83	22	4 2 2
41.64	18	3 0 1
69.94	12	5 1 0
18.29	10	1 1 0

```
data_Cu3SnAu
_symmetry_space_group_name_H-M 'P 21 3'
_symmetry_Int_Tables_number 198
_symmetry_space_group_name_Hall 'P 2ac 2ab 3'
_cell_length_a 6.8583
_cell_length_b 6.8583
_cell_length_c 6.8583
_cell_angle_alpha 90.00
_cell_angle_beta 90.00
_cell_angle_gamma 90.00
loop_
_atom_site_label
_atom_site_fract_x
_atom_site_fract_y
_atom_site_fract_z
Cu1 0.0823 0.1305 0.8363
Sn1 0.2204 0.2204 0.2204
Au1 0.0193 0.9807 0.4807
```

=====

(5)
Starting from DFT lattice parameters and positions (GGA-PBE), the powder diffraction line list of CuSnAu was simulated for Cu Kα, 1.54184 Å.
Lines closer than 0.1° are merged.

Top 8 peaks for 5 to 70 degrees two-theta, most intense first:
Position (°2θ)	I (rel.)	h k l
41.32	100	1 1 4
30.24	58	1 1 0
43.29	53	2 0 0
27.49	27	0 0 4
33.31	23	1 1 2
52.05	20	2 0 4
22.34	18	1 0 1
62.88	18	2 2 0

```
data_CuSnAu
_symmetry_space_group_name_H-M 'I 4/m m m'
_symmetry_Int_Tables_number 139
_symmetry_space_group_name_Hall '-I 4 2'
_cell_length_a 4.1804
_cell_length_b 4.1804
_cell_length_c 12.9766
_cell_angle_alpha 90.00
_cell_angle_beta 90.00
_cell_angle_gamma 90.00
loop_
_atom_site_label
_atom_site_fract_x
_atom_site_fract_y
_atom_site_fract_z
Cu1 0.0000 0.5000 0.0000
Sn1 0.0000 0.0000 0.1560
Au1 0.0000 0.0000 0.3708
```

=====

(6)
Starting from DFT lattice parameters and positions (GGA-PBE), the powder diffraction line list of UCu4Au was simulated for Cu Kα, 1.54184 Å.
Lines closer than 0.1° are merged.

Top 8 peaks for 5 to 70 degrees two-theta, most intense first:
Position (°2θ)	I (rel.)	h k l
41.93	100	3 1 1
35.53	74	2 2 0
68.18	31	5 1 1
63.80	28	4 2 2
21.54	24	1 1 1
43.88	11	2 2 2
56.09	7	3 3 1
51.12	2	4 0 0

```
data_UCu4Au
_symmetry_space_group_name_H-M 'F -4 3 m'
_symmetry_Int_Tables_number 216
_symmetry_space_group_name_Hall 'F -4 2 3'
_cell_length_a 7.1467
_cell_length_b 7.1467
_cell_length_c 7.1467
_cell_angle_alpha 90.00
_cell_angle_beta 90.00
_cell_angle_gamma 90.00
loop_
_atom_site_label
_atom_site_fract_x
_atom_site_fract_y
_atom_site_fract_z
U1 0.0000 0.0000 0.0000
Cu1 0.1239 0.1239 0.3761
Au1 0.2500 0.2500 0.7500
```

=====

(7)
Starting from DFT lattice parameters and positions (GGA-PBE), the powder diffraction line list of Y2CuAu was simulated for Cu Kα, 1.54184 Å.
Lines closer than 0.1° are merged.

Top 8 peaks for 5 to 70 degrees two-theta, most intense first:
Position (°2θ)	I (rel.)	h k l
35.78	100	2 2 0
64.30	35	4 2 2
21.69	19	1 1 1
51.51	17	4 0 0
42.23	11	3 1 1
56.52	5	3 3 1
25.09	4	2 0 0
68.72	4	5 1 1

```
data_Y2CuAu
_symmetry_space_group_name_H-M 'F m -3 m'
_symmetry_Int_Tables_number 225
_symmetry_space_group_name_Hall '-F 4 2 3'
_cell_length_a 7.0973
_cell_length_b 7.0973
_cell_length_c 7.0973
_cell_angle_alpha 90.00
_cell_angle_beta 90.00
_cell_angle_gamma 90.00
loop_
_atom_site_label
_atom_site_fract_x
_atom_site_fract_y
_atom_site_fract_z
Y1 0.2500 0.2500 0.2500
Cu1 0.0000 0.0000 0.0000
Au1 0.0000 0.0000 0.5000
```

=====

(8)
Starting from DFT lattice parameters and positions (GGA-PBE), the powder diffraction line list of Dy2Au5F21 was simulated for Cu Kα, 1.54184 Å.
Lines closer than 0.1° are merged.

Top 8 peaks for 5 to 70 degrees two-theta, most intense first:
Position (°2θ)	I (rel.)	h k l
23.86	100	0 1 3
26.66	44	1 1 -3
26.83	41	-1 2 2
26.23	40	2 0 2
22.06	37	1 2 0
22.42	36	1 -2 0
24.43	35	0 2 -2
24.16	34	2 -1 0

```
data_Dy2Au5F21
_symmetry_space_group_name_H-M 'P -1'
_symmetry_Int_Tables_number 2
_cell_length_a 8.1078
_cell_length_b 9.1920
_cell_length_c 12.1597
_cell_angle_alpha 89.14
_cell_angle_beta 88.92
_cell_angle_gamma 88.91
loop_
_symmetry_equiv_pos_as_xyz
'x,y,z'
'-x,-y,-z'
loop_
_atom_site_label
_atom_site_fract_x
_atom_site_fract_y
_atom_site_fract_z
Dy1 0.1656 0.1815 0.0007
Dy2 0.1719 0.3173 0.4959
Au1 0.0583 0.5082 0.7907
Au2 0.0588 0.9855 0.7044
Au3 0.3261 0.7224 0.4046
Au4 0.3366 0.7766 0.0934
Au5 0.4816 0.7504 0.7550
F1 0.0000 0.0000 0.0000
F2 0.0000 0.5000 0.5000
F3 0.0244 0.1318 0.4165
F4 0.0558 0.3875 0.0891
F5 0.0814 0.1188 0.1879
F6 0.0855 0.3865 0.3124
F7 0.0849 0.7359 0.3856
F8 0.0965 0.7434 0.0891
F9 0.1576 0.1033 0.8186
F10 0.1853 0.4074 0.6737
F11 0.1969 0.3997 0.8966
F12 0.1977 0.0926 0.5971
F13 0.3023 0.7295 0.8620
F14 0.3152 0.7565 0.6421
F15 0.3225 0.9758 0.0267
F16 0.3267 0.5145 0.4544
F17 0.3314 0.9193 0.3459
F18 0.3429 0.2285 0.3600
F19 0.3573 0.5878 0.1657
F20 0.3591 0.2534 0.1225
F21 0.4231 0.1976 0.8993
F22 0.4329 0.2795 0.5756
```

=====

(9)
Starting from DFT lattice parameters and positions (GGA-PBE), the powder diffraction line list of DyInAu2 was simulated for Cu Kα, 1.54184 Å.
Lines closer than 0.1° are merged.

Top 8 peaks for 5 to 70 degrees two-theta, most intense first:
Position (°2θ)	I (rel.)	h k l
36.26	100	2 2 0
65.22	36	4 2 2
52.21	18	4 0 0
25.42	4	2 0 0
58.94	2	4 2 0
44.80	1	2 2 2
21.97	1	1 1 1
42.80	1	3 1 1

```
data_DyInAu2
_symmetry_space_group_name_H-M 'F m -3 m'
_symmetry_Int_Tables_number 225
_symmetry_space_group_name_Hall '-F 4 2 3'
_cell_length_a 7.0077
_cell_length_b 7.0077
_cell_length_c 7.0077
_cell_angle_alpha 90.00
_cell_angle_beta 90.00
_cell_angle_gamma 90.00
loop_
_atom_site_label
_atom_site_fract_x
_atom_site_fract_y
_atom_site_fract_z
Dy1 0.0000 0.0000 0.0000
In1 0.0000 0.0000 0.5000
Au1 0.2500 0.2500 0.2500
```

=====

(10)
Starting from DFT lattice parameters and positions (GGA-PBE), the powder diffraction line list of DyInAu was simulated for Cu Kα, 1.54184 Å.
Lines closer than 0.1° are merged.

Top 8 peaks for 5 to 70 degrees two-theta, most intense first:
Position (°2θ)	I (rel.)	h k l
34.77	100	2 0 1
32.01	79	1 1 1
40.41	50	3 0 0
42.11	39	2 1 1
64.93	35	3 2 1
35.47	31	2 1 0
61.88	28	3 0 2
44.78	27	0 0 2

```
data_DyInAu
_symmetry_space_group_name_H-M 'P -6 2 m'
_symmetry_Int_Tables_number 189
_symmetry_space_group_name_Hall 'P -6 -2'
_cell_length_a 7.7319
_cell_length_b 7.7319
_cell_length_c 4.0481
_cell_angle_alpha 90.00
_cell_angle_beta 90.00
_cell_angle_gamma 120.00
loop_
_atom_site_label
_atom_site_fract_x
_atom_site_fract_y
_atom_site_fract_z
Dy1 0.0000 0.5936 0.0000
In1 0.0000 0.2591 0.5000
Au1 0.0000 0.0000 0.0000
Au2 0.3333 0.6667 0.5000
```

=====

(11)
Starting from DFT lattice parameters and positions (GGA-PBE), the powder diffraction line list of LiDyAu2 was simulated for Cu Kα, 1.54184 Å.
Lines closer than 0.1° are merged.

Top 8 peaks for 5 to 70 degrees two-theta, most intense first:
Position (°2θ)	I (rel.)	h k l
36.97	100	2 2 0
66.61	36	4 2 2
25.91	21	2 0 0
22.39	18	1 1 1
53.27	18	4 0 0
43.65	10	3 1 1
60.17	9	4 2 0
45.69	6	2 2 2

```
data_LiDyAu2
_symmetry_space_group_name_H-M 'F m -3 m'
_symmetry_Int_Tables_number 225
_symmetry_space_group_name_Hall '-F 4 2 3'
_cell_length_a 6.8780
_cell_length_b 6.8780
_cell_length_c 6.8780
_cell_angle_alpha 90.00
_cell_angle_beta 90.00
_cell_angle_gamma 90.00
loop_
_atom_site_label
_atom_site_fract_x
_atom_site_fract_y
_atom_site_fract_z
Li1 0.0000 0.0000 0.0000
Dy1 0.0000 0.0000 0.5000
Au1 0.2500 0.2500 0.2500
```

=====

(12)
Starting from DFT lattice parameters and positions (GGA-PBE), the powder diffraction line list of DyNi4Au was simulated for Cu Kα, 1.54184 Å.
Lines closer than 0.1° are merged.

Top 8 peaks for 5 to 70 degrees two-theta, most intense first:
Position (°2θ)	I (rel.)	h k l
43.04	100	3 1 1
36.46	69	2 2 0
65.62	25	4 2 2
22.09	19	1 1 1
45.06	13	2 2 2
57.65	5	3 3 1
52.52	1	4 0 0
25.56	1	2 0 0

```
data_DyNi4Au
_symmetry_space_group_name_H-M 'F -4 3 m'
_symmetry_Int_Tables_number 216
_symmetry_space_group_name_Hall 'F -4 2 3'
_cell_length_a 6.9697
_cell_length_b 6.9697
_cell_length_c 6.9697
_cell_angle_alpha 90.00
_cell_angle_beta 90.00
_cell_angle_gamma 90.00
loop_
_atom_site_label
_atom_site_fract_x
_atom_site_fract_y
_atom_site_fract_z
Dy1 0.0000 0.0000 0.0000
Ni1 0.1245 0.1245 0.6245
Au1 0.2500 0.2500 0.2500
```

=====

(13)
Starting from DFT lattice parameters and positions (GGA-PBE), the powder diffraction line list of Dy5SbAu2 was simulated for Cu Kα, 1.54184 Å.
Lines closer than 0.1° are merged.

Top 8 peaks for 5 to 70 degrees two-theta, most intense first:
Position (°2θ)	I (rel.)	h k l
32.17	100	2 1 3
34.96	53	3 1 0
65.58	18	5 2 3
42.79	15	2 1 5
13.63	15	0 0 2
35.39	15	2 0 4
68.34	11	3 1 8
65.02	10	4 4 0

```
data_Dy5SbAu2
_symmetry_space_group_name_H-M 'I 4/m c m'
_symmetry_Int_Tables_number 140
_symmetry_space_group_name_Hall '-I 4 2c'
_cell_length_a 8.1168
_cell_length_b 8.1168
_cell_length_c 12.9941
_cell_angle_alpha 90.00
_cell_angle_beta 90.00
_cell_angle_gamma 90.00
loop_
_atom_site_label
_atom_site_fract_x
_atom_site_fract_y
_atom_site_fract_z
Dy1 0.0000 0.0000 0.0000
Dy2 0.1570 0.3430 0.1422
Sb1 0.0000 0.0000 0.2500
Au1 0.1362 0.3638 0.5000
```